No. 1
Diffraction record for LiSc2PaS6. The XRD peak list is theoretical, not measured: it uses a crystal structure in Alexandria, relaxed with PBE and Cu Kα X-rays.
Peak positions follow from Bragg's law for the DFT cell and can differ from measured ones.

The 12 most intense peaks (10° ≤ 2θ ≤ 90°), in order of rising 2θ:
2θ/deg	I/Imax
14.91	40
16.27	100
18.43	50
25.34	43
27.00	31
29.53	24
30.98	69
37.36	22
40.86	60
42.10	20
46.70	21
47.70	31

abc: 7.060 7.060 7.060
angles: 55.78 55.78 55.78
Fractional positions:
Li: 0.000 0.000 0.000
Sc: 0.198 0.198 0.198
Sc: 0.703 0.703 0.703
Pa: 0.508 0.508 0.508
S: 0.096 0.418 0.802
S: 0.314 0.919 0.583
S: 0.418 0.802 0.096
S: 0.583 0.314 0.919
S: 0.802 0.096 0.418
S: 0.919 0.583 0.314

---

No. 2
Diffraction record for NaAlTe. The XRD peak list is theoretical, not measured: it uses a crystal structure in Alexandria, relaxed with PBE and Cu Kα X-rays.
Peak positions follow from Bragg's law for the DFT cell and can differ from measured ones.

The 12 most intense peaks (10° ≤ 2θ ≤ 90°), in order of rising 2θ:
2θ/deg	I/Imax
20.87	20
21.63	60
21.80	29
30.23	100
30.36	45
38.14	23
43.60	11
43.87	23
44.09	20
48.19	26
58.39	13
64.01	16

abc: 4.756 8.152 8.514
angles: 90.00 90.00 90.00
Fractional positions:
Na: 0.250 0.105 0.000
Na: 0.250 0.895 0.500
Na: 0.750 0.395 0.000
Na: 0.750 0.605 0.500
Al: 0.000 0.250 0.435
Al: 0.000 0.750 0.065
Al: 0.500 0.250 0.565
Al: 0.500 0.750 0.935
Te: 0.227 0.500 0.250
Te: 0.273 0.500 0.750
Te: 0.727 0.000 0.750
Te: 0.773 0.000 0.250